No. 1
The following is a theoretical powder XRD pattern of CdNi3N. It was derived from the PBE geometry in Alexandria, using Cu Kα.
Peak positions follow from Bragg's law for the DFT cell and can differ from measured ones.

Structure:
```
data_CdNi3N
_chemical_formula_sum 'Cd2 Ni6 N2'
_cell_length_a 3.901
_cell_length_b 3.744
_cell_length_c 7.986
_cell_angle_alpha 90.00
_cell_angle_beta 90.00
_cell_angle_gamma 90.00
_space_group_name_H-M_alt 'P m m a'
_space_group_IT_number 51
_space_group_name_Hall '-P 2a 2a'
loop_
_atom_site_label
_atom_site_type_symbol
_atom_site_fract_x
_atom_site_fract_y
_atom_site_fract_z
Cd1 Cd 0.250 0.000 0.131
Ni1 Ni 0.250 0.000 0.619
Ni2 Ni 0.250 0.500 0.376
Ni3 Ni 0.250 0.500 0.866
N1 N 0.250 0.500 0.632
```

The 10 most intense peaks (10° ≤ 2θ ≤ 90°), by intensity:
2θ/deg	I_rel
40.31	1000
45.43	202
46.57	191
48.64	167
82.09	115
67.09	115
80.44	115
87.13	110
68.74	106
69.62	105

---

No. 2
The following is a theoretical powder XRD pattern of KTiBr5. It was derived from the PBE geometry in Alexandria, using Cu Kα.
Peak positions follow from Bragg's law for the DFT cell and can differ from measured ones.

Structure:
```
data_KTiBr5
_chemical_formula_sum 'K2 Ti2 Br10'
_cell_length_a 8.651
_cell_length_b 10.439
_cell_length_c 6.591
_cell_angle_alpha 90.00
_cell_angle_beta 90.00
_cell_angle_gamma 90.00
_space_group_name_H-M_alt 'I m m 2'
_space_group_IT_number 44
_space_group_name_Hall 'I 2 -2'
loop_
_atom_site_label
_atom_site_type_symbol
_atom_site_fract_x
_atom_site_fract_y
_atom_site_fract_z
K1 K 0.000 0.000 0.000
Ti1 Ti 0.000 0.500 0.955
Br1 Br 0.000 0.291 0.789
Br2 Br 0.000 0.500 0.314
Br3 Br 0.211 0.000 0.439
```

The 10 most intense peaks (10° ≤ 2θ ≤ 90°), by intensity:
2θ/deg	I_rel
24.06	1000
32.15	738
16.96	730
35.81	651
15.90	572
26.08	499
34.36	366
13.29	354
55.45	315
27.06	302

---

No. 3
The following is a theoretical powder XRD pattern of Na2S2O7. It was derived from the PBE geometry in Alexandria, using Cu Kα.
Peak positions follow from Bragg's law for the DFT cell and can differ from measured ones.

Structure:
```
data_Na2S2O7
_chemical_formula_sum 'Na4 S4 O14'
_cell_length_a 6.869
_cell_length_b 6.958
_cell_length_c 7.010
_cell_angle_alpha 83.17
_cell_angle_beta 63.68
_cell_angle_gamma 83.17
_space_group_name_H-M_alt 'P -1'
_space_group_IT_number 2
_space_group_name_Hall '-P 1'
loop_
_atom_site_label
_atom_site_type_symbol
_atom_site_fract_x
_atom_site_fract_y
_atom_site_fract_z
Na1 Na 0.118 0.168 0.254
Na2 Na 0.280 0.354 0.665
S1 S 0.227 0.663 0.255
S2 S 0.353 0.859 0.821
O1 O 0.083 0.832 0.351
O2 O 0.110 0.517 0.224
O3 O 0.203 0.745 0.796
O4 O 0.265 0.052 0.893
O5 O 0.371 0.587 0.353
O6 O 0.409 0.739 0.018
O7 O 0.426 0.148 0.350
```

The 10 most intense peaks (10° ≤ 2θ ≤ 90°), by intensity:
2θ/deg	I_rel
28.49	1000
27.77	968
28.63	962
18.49	809
30.52	749
20.08	615
26.18	569
30.26	491
27.60	413
18.63	316

---

No. 4
The following is a theoretical powder XRD pattern of UHgTe2. It was derived from the PBE geometry in Alexandria, using Cu Kα.
Peak positions follow from Bragg's law for the DFT cell and can differ from measured ones.

Structure:
```
data_UHgTe2
_chemical_formula_sum 'U2 Hg2 Te4'
_cell_length_a 7.364
_cell_length_b 4.252
_cell_length_c 9.967
_cell_angle_alpha 90.00
_cell_angle_beta 104.17
_cell_angle_gamma 90.00
_space_group_name_H-M_alt 'C 1 2/m 1'
_space_group_IT_number 12
_space_group_name_Hall '-C 2y'
loop_
_atom_site_label
_atom_site_type_symbol
_atom_site_fract_x
_atom_site_fract_y
_atom_site_fract_z
U1 U 0.000 0.000 0.000
Hg1 Hg 0.000 0.500 0.500
Te1 Te 0.229 0.500 0.187
```

The 10 most intense peaks (10° ≤ 2θ ≤ 90°), by intensity:
2θ/deg	I_rel
27.16	1000
34.73	390
42.52	338
51.19	179
68.67	151
18.36	124
39.56	122
57.77	111
50.57	111
56.03	101

---

No. 5
The following is a theoretical powder XRD pattern of LiUIr. It was derived from the PBE geometry in Alexandria, using Cu Kα.
Peak positions follow from Bragg's law for the DFT cell and can differ from measured ones.

Structure:
```
data_LiUIr
_chemical_formula_sum 'Li8 U8 Ir8'
_cell_length_a 5.703
_cell_length_b 7.249
_cell_length_c 11.611
_cell_angle_alpha 90.00
_cell_angle_beta 90.00
_cell_angle_gamma 90.00
_space_group_name_H-M_alt 'F m m m'
_space_group_IT_number 69
_space_group_name_Hall '-F 2 2'
loop_
_atom_site_label
_atom_site_type_symbol
_atom_site_fract_x
_atom_site_fract_y
_atom_site_fract_z
Li1 Li 0.000 0.169 0.000
U1 U 0.250 0.250 0.250
Ir1 Ir 0.000 0.000 0.386
```

The 10 most intense peaks (10° ≤ 2θ ≤ 90°), by intensity:
2θ/deg	I_rel
15.26	1000
21.25	990
39.78	873
40.24	853
29.04	736
44.54	613
35.06	483
69.46	352
43.28	341
63.52	253

---

No. 6
The following is a theoretical powder XRD pattern of ThSc2Au4. It was derived from the PBE geometry in Alexandria, using Cu Kα.
Peak positions follow from Bragg's law for the DFT cell and can differ from measured ones.

Structure:
```
data_ThSc2Au4
_chemical_formula_sum 'Th4 Sc8 Au16'
_cell_length_a 4.980
_cell_length_b 8.617
_cell_length_c 14.315
_cell_angle_alpha 90.00
_cell_angle_beta 90.00
_cell_angle_gamma 90.00
_space_group_name_H-M_alt 'C m c m'
_space_group_IT_number 63
_space_group_name_Hall '-C 2c 2'
loop_
_atom_site_label
_atom_site_type_symbol
_atom_site_fract_x
_atom_site_fract_y
_atom_site_fract_z
Th1 Th 0.000 0.001 0.250
Sc1 Sc 0.000 0.333 0.059
Au1 Au 0.000 0.000 0.000
Au2 Au 0.000 0.333 0.635
Au3 Au 0.000 0.334 0.250
```

The 10 most intense peaks (10° ≤ 2θ ≤ 90°), by intensity:
2θ/deg	I_rel
36.09	1000
32.52	561
37.72	445
27.89	273
64.10	249
64.90	183
49.36	179
62.65	177
53.19	173
65.97	171

---

No. 7
The following is a theoretical powder XRD pattern of KZr2P3O12. It was derived from the PBE geometry in Alexandria, using Cu Kα.
Peak positions follow from Bragg's law for the DFT cell and can differ from measured ones.

Structure:
```
data_KZr2P3O12
_chemical_formula_sum 'K6 Zr12 P18 O72'
_cell_length_a 8.8724
_cell_length_b 8.8724
_cell_length_c 24.2219
_cell_angle_alpha 90.00
_cell_angle_beta 90.00
_cell_angle_gamma 120.00
_space_group_name_H-M_alt 'R -3 c'
_space_group_IT_number 167
_space_group_name_Hall '-R 3 2"c'
loop_
_atom_site_label
_atom_site_type_symbol
_atom_site_fract_x
_atom_site_fract_y
_atom_site_fract_z
K1 K 0.0000 0.0000 0.0000
Zr1 Zr 0.0000 0.0000 0.1493
P1 P 0.0000 0.2870 0.2500
O1 O 0.0256 0.1991 0.9046
O2 O 0.0407 0.2097 0.1989
```

The 10 most intense peaks (10° ≤ 2θ ≤ 90°), by intensity:
2θ/deg	I_rel
29.93	1000
20.02	905
22.87	704
18.66	411
27.49	353
35.03	338
46.73	326
54.75	243
13.65	215
48.97	201

---

No. 8
The following is a theoretical powder XRD pattern of Er2MgAl2. It was derived from the PBE geometry in Alexandria, using Cu Kα.
Peak positions follow from Bragg's law for the DFT cell and can differ from measured ones.

Structure:
```
data_Er2MgAl2
_chemical_formula_sum 'Er4 Mg2 Al4'
_cell_length_a 4.452
_cell_length_b 14.890
_cell_length_c 3.519
_cell_angle_alpha 90.00
_cell_angle_beta 90.00
_cell_angle_gamma 90.00
_space_group_name_H-M_alt 'C m m m'
_space_group_IT_number 65
_space_group_name_Hall '-C 2 2'
loop_
_atom_site_label
_atom_site_type_symbol
_atom_site_fract_x
_atom_site_fract_y
_atom_site_fract_z
Er1 Er 0.000 0.123 0.000
Mg1 Mg 0.000 0.500 0.500
Al1 Al 0.000 0.298 0.500
```

The 10 most intense peaks (10° ≤ 2θ ≤ 90°), by intensity:
2θ/deg	I_rel
33.00	1000
35.09	774
20.83	756
23.91	588
37.27	548
36.29	531
26.90	477
54.67	436
25.31	392
40.53	310

---

No. 9
The following is a theoretical powder XRD pattern of La2Nd7TmTl2. It was derived from the PBE geometry in Alexandria, using Cu Kα.
Peak positions follow from Bragg's law for the DFT cell and can differ from measured ones.

Structure:
```
data_La2Nd7TmTl2
_chemical_formula_sum 'La4 Nd14 Tm2 Tl4'
_cell_length_a 4.842
_cell_length_b 4.842
_cell_length_c 35.174
_cell_angle_alpha 90.00
_cell_angle_beta 90.00
_cell_angle_gamma 90.00
_space_group_name_H-M_alt 'I 4/m m m'
_space_group_IT_number 139
_space_group_name_Hall '-I 4 2'
loop_
_atom_site_label
_atom_site_type_symbol
_atom_site_fract_x
_atom_site_fract_y
_atom_site_fract_z
La1 La 0.000 0.000 0.168
Nd1 Nd 0.000 0.000 0.000
Nd2 Nd 0.000 0.000 0.270
Nd3 Nd 0.000 0.500 0.077
Tm1 Tm 0.000 0.000 0.500
Tl1 Tl 0.000 0.000 0.358
```

The 10 most intense peaks (10° ≤ 2θ ≤ 90°), by intensity:
2θ/deg	I_rel
30.23	1000
37.14	719
33.16	580
33.59	339
26.52	269
26.03	256
53.53	252
62.72	251
50.93	211
29.37	196

---

No. 10
The following is a theoretical powder XRD pattern of Bi3Pb3I. It was derived from the PBE geometry in Alexandria, using Cu Kα.
Peak positions follow from Bragg's law for the DFT cell and can differ from measured ones.

Structure:
```
data_Bi3Pb3I
_chemical_formula_sum 'Bi6 Pb6 I2'
_cell_length_a 8.707
_cell_length_b 8.707
_cell_length_c 8.707
_cell_angle_alpha 90.00
_cell_angle_beta 90.00
_cell_angle_gamma 90.00
_space_group_name_H-M_alt 'P m -3 n'
_space_group_IT_number 223
_space_group_name_Hall '-P 4n 2 3'
loop_
_atom_site_label
_atom_site_type_symbol
_atom_site_fract_x
_atom_site_fract_y
_atom_site_fract_z
Bi1 Bi 0.000 0.250 0.500
Pb1 Pb 0.000 0.500 0.250
I1 I 0.000 0.000 0.000
```

The 10 most intense peaks (10° ≤ 2θ ≤ 90°), by intensity:
2θ/deg	I_rel
25.05	1000
38.69	653
35.72	578
14.39	481
41.48	434
20.40	407
60.11	297
71.93	241
66.16	208
58.02	204

---

No. 11
The following is a theoretical powder XRD pattern of Sr2MgCd. It was derived from the PBE geometry in Alexandria, using Cu Kα.
Peak positions follow from Bragg's law for the DFT cell and can differ from measured ones.

Structure:
```
data_Sr2MgCd
_chemical_formula_sum 'Sr2 Mg1 Cd1'
_cell_length_a 4.037
_cell_length_b 5.878
_cell_length_c 5.875
_cell_angle_alpha 90.00
_cell_angle_beta 90.00
_cell_angle_gamma 90.00
_space_group_name_H-M_alt 'P m m 2'
_space_group_IT_number 25
_space_group_name_Hall 'P 2 -2'
loop_
_atom_site_label
_atom_site_type_symbol
_atom_site_fract_x
_atom_site_fract_y
_atom_site_fract_z
Sr1 Sr 0.000 0.000 0.000
Sr2 Sr 0.000 0.500 0.498
Mg1 Mg 0.500 0.500 0.996
Cd1 Cd 0.500 0.000 0.501
```

The 10 most intense peaks (10° ≤ 2θ ≤ 90°), by intensity:
2θ/deg	I_rel
30.88	1000
30.42	520
54.35	390
15.08	214
43.56	191
55.21	186
64.35	116
26.79	113
88.87	98
72.08	89

---

No. 12
The following is a theoretical powder XRD pattern of LaPmIrRh. It was derived from the PBE geometry in Alexandria, using Cu Kα.
Peak positions follow from Bragg's law for the DFT cell and can differ from measured ones.

Structure:
```
data_LaPmIrRh
_chemical_formula_sum 'La2 Pm2 Ir2 Rh2'
_cell_length_a 4.260
_cell_length_b 3.990
_cell_length_c 11.028
_cell_angle_alpha 90.00
_cell_angle_beta 90.00
_cell_angle_gamma 90.00
_space_group_name_H-M_alt 'A m m 2'
_space_group_IT_number 38
_space_group_name_Hall 'A 2 -2'
loop_
_atom_site_label
_atom_site_type_symbol
_atom_site_fract_x
_atom_site_fract_y
_atom_site_fract_z
La1 La 0.000 0.000 0.000
Pm1 Pm 0.500 0.000 0.284
Ir1 Ir 0.500 0.000 0.561
Rh1 Rh 0.000 0.000 0.728
```

The 10 most intense peaks (10° ≤ 2θ ≤ 90°), by intensity:
2θ/deg	I_rel
31.78	1000
39.48	708
38.91	292
32.48	286
42.44	271
33.14	234
45.47	223
54.42	180
63.94	161
61.35	154

---

No. 13
The following is a theoretical powder XRD pattern of KMgTlPb. It was derived from the PBE geometry in Alexandria, using Cu Kα.
Peak positions follow from Bragg's law for the DFT cell and can differ from measured ones.

Structure:
```
data_KMgTlPb
_chemical_formula_sum 'K1 Mg1 Tl1 Pb1'
_cell_length_a 3.724
_cell_length_b 3.724
_cell_length_c 8.803
_cell_angle_alpha 90.00
_cell_angle_beta 90.00
_cell_angle_gamma 90.00
_space_group_name_H-M_alt 'P 4 m m'
_space_group_IT_number 99
_space_group_name_Hall 'P 4 -2'
loop_
_atom_site_label
_atom_site_type_symbol
_atom_site_fract_x
_atom_site_fract_y
_atom_site_fract_z
K1 K 0.000 0.000 0.000
Mg1 Mg 0.000 0.000 0.497
Tl1 Tl 0.500 0.500 0.294
Pb1 Pb 0.500 0.500 0.697
```

The 10 most intense peaks (10° ≤ 2θ ≤ 90°), by intensity:
2θ/deg	I_rel
31.47	1000
23.89	700
34.04	571
39.08	337
59.33	329
20.17	315
46.33	248
39.89	238
10.05	237
48.91	207